Simulated powder XRD pattern
Compound: Tl3Bi
Radiation: Cu Kα
Structure: the GGA-PBE geometry in the Materials Project
Neutral-atom scattering factors, no anomalous dispersion.

Structure:
```
data_Tl3Bi
_cell_length_a 7.4581
_cell_length_b 7.4581
_cell_length_c 5.3892
_cell_angle_alpha 90.00
_cell_angle_beta 90.00
_cell_angle_gamma 120.00
_space_group_name_H-M_alt 'P 63/m m c'
_space_group_IT_number 194
_space_group_name_Hall '-P 6c 2c'
loop_
_atom_site_label
_atom_site_fract_x
_atom_site_fract_y
_atom_site_fract_z
Tl1 0.1698 0.3396 0.2500
Bi1 0.3333 0.6667 0.7500
```

Principal peaks in the range 2θ from 5° to 70°, sorted by position:
d = 3.229 Å, 27.62 deg, I = 25; d = 2.770 Å, 32.32 deg, I = 100; d = 2.695 Å, 33.25 deg, I = 21; d = 2.069 Å, 43.75 deg, I = 15; d = 1.865 Å, 48.85 deg, I = 21; d = 1.615 Å, 57.04 deg, I = 3; d = 1.570 Å, 58.82 deg, I = 19; d = 1.547 Å, 59.79 deg, I = 18; d = 1.533 Å, 60.37 deg, I = 23; d = 1.385 Å, 67.64 deg, I = 4